For Li9Mn2Co5O16, a cell relaxed with GGA+U gives the simulated powder diffraction line list in this record (Cu Kα).
Intensities are scaled so that the largest is 100.

Largest 12 diffraction maxima, low angle first, 15 to 90 degrees two-theta:
- 2θ = 18.08°, intensity 100
- 2θ = 34.30°, intensity 20
- 2θ = 36.58°, intensity 28
- 2θ = 37.69°, intensity 7
- 2θ = 41.13°, intensity 34
- 2θ = 44.26°, intensity 52
- 2θ = 47.09°, intensity 11
- 2θ = 57.96°, intensity 9
- 2θ = 61.86°, intensity 16
- 2θ = 62.15°, intensity 16
- 2θ = 63.09°, intensity 7
- 2θ = 80.52°, intensity 10

Crystal structure
Lattice parameters (Å, degrees): 2.9952 2.9952 39.2574 90.30 90.30 56.69
Atoms (fractional coordinates):
Li (0.0000, 0.0000, 0.0000)
Li (0.0608, 0.0608, 0.8127)
Li (0.1848, 0.1848, 0.4385)
Li (0.3215, 0.3215, 0.0618)
Li (0.4350, 0.4350, 0.6894)
Li (0.5650, 0.5650, 0.3106)
Li (0.6785, 0.6785, 0.9382)
Li (0.8152, 0.8152, 0.5615)
Li (0.9392, 0.9392, 0.1873)
Mn (0.1247, 0.1247, 0.6251)
Mn (0.8753, 0.8753, 0.3749)
Co (0.2517, 0.2517, 0.2498)
Co (0.3711, 0.3711, 0.8743)
Co (0.5000, 0.5000, 0.5000)
Co (0.6289, 0.6289, 0.1257)
Co (0.7483, 0.7483, 0.7502)
O (0.0390, 0.0390, 0.9017)
O (0.1117, 0.1117, 0.7224)
O (0.1383, 0.1383, 0.5277)
O (0.2419, 0.2419, 0.3457)
O (0.2844, 0.2844, 0.1551)
O (0.3450, 0.3450, 0.9680)
O (0.3897, 0.3897, 0.7774)
O (0.4926, 0.4926, 0.5957)
O (0.5074, 0.5074, 0.4043)
O (0.6103, 0.6103, 0.2226)
O (0.6550, 0.6550, 0.0320)
O (0.7156, 0.7156, 0.8449)
O (0.7581, 0.7581, 0.6543)
O (0.8617, 0.8617, 0.4723)
O (0.8883, 0.8883, 0.2776)
O (0.9610, 0.9610, 0.0983)



For Fe6O11F, a cell relaxed with GGA+U gives the simulated powder diffraction line list in this record (Cu Kα).
Intensities are scaled so that the largest is 100.

Largest 12 diffraction maxima, low angle first, 15 to 90 degrees two-theta:
- 2θ = 26.96°, intensity 95
- 2θ = 27.43°, intensity 96
- 2θ = 35.79°, intensity 100
- 2θ = 38.84°, intensity 20
- 2θ = 40.73°, intensity 13
- 2θ = 41.05°, intensity 12
- 2θ = 53.57°, intensity 56
- 2θ = 54.10°, intensity 56
- 2θ = 55.59°, intensity 16
- 2θ = 56.60°, intensity 15
- 2θ = 62.23°, intensity 15
- 2θ = 68.34°, intensity 39

Crystal structure
Lattice parameters (Å, degrees): 2.9837 10.4398 10.4398 36.30 90.00 90.00
Atoms (fractional coordinates):
Fe (0.0000, 0.0000, 0.0000)
Fe (0.0000, 0.3261, 0.3261)
Fe (0.0000, 0.6696, 0.6696)
Fe (0.5000, 0.1662, 0.1662)
Fe (0.5000, 0.5061, 0.5061)
Fe (0.5000, 0.8350, 0.8350)
O (0.0000, 0.0270, 0.6414)
O (0.0000, 0.3100, 0.6925)
O (0.0000, 0.3572, 0.9738)
O (0.0000, 0.6414, 0.0270)
O (0.0000, 0.6925, 0.3100)
O (0.0000, 0.9738, 0.3572)
O (0.5000, 0.0638, 0.0638)
O (0.5000, 0.2643, 0.2643)
O (0.5000, 0.6086, 0.6086)
O (0.5000, 0.7333, 0.7333)
O (0.5000, 0.9369, 0.9369)
F (0.5000, 0.3985, 0.3985)



For Ba2YMn3O7, a cell relaxed with GGA+U gives the simulated powder diffraction line list in this record (Cu Kα).
Intensities are scaled so that the largest is 100.

Largest 12 diffraction maxima, low angle first, 15 to 90 degrees two-theta:
- 2θ = 21.78°, intensity 14
- 2θ = 31.47°, intensity 91
- 2θ = 31.69°, intensity 94
- 2θ = 32.15°, intensity 100
- 2θ = 39.17°, intensity 34
- 2θ = 44.41°, intensity 32
- 2θ = 45.79°, intensity 19
- 2θ = 46.42°, intensity 28
- 2θ = 55.87°, intensity 40
- 2θ = 56.76°, intensity 39
- 2θ = 57.16°, intensity 33
- 2θ = 66.19°, intensity 18

Crystal structure
Lattice parameters (Å, degrees): 12.5691 12.5158 5.6528 77.50 76.45 26.05
Atoms (fractional coordinates):
Ba (0.0000, 0.0000, 0.5000)
Ba (0.1786, 0.1786, 0.3214)
Ba (0.5000, 0.5000, 0.0000)
Ba (0.6786, 0.6786, 0.8214)
Y (0.3382, 0.3382, 0.1618)
Y (0.8382, 0.8382, 0.6618)
Mn (0.0894, 0.0894, 0.9106)
Mn (0.2611, 0.2611, 0.7389)
Mn (0.4129, 0.4129, 0.5871)
Mn (0.5885, 0.5885, 0.4115)
Mn (0.7622, 0.7622, 0.2378)
Mn (0.9193, 0.9193, 0.0807)
O (0.0067, 0.0067, 0.9933)
O (0.0274, 0.5301, 0.4699)
O (0.0292, 0.5305, 0.9708)
O (0.1549, 0.6406, 0.8451)
O (0.1604, 0.6373, 0.3627)
O (0.1715, 0.1715, 0.8285)
O (0.3268, 0.8507, 0.1493)
O (0.5025, 0.5025, 0.4975)
O (0.5301, 0.0274, 0.9726)
O (0.5305, 0.0292, 0.4695)
O (0.6373, 0.1604, 0.8396)
O (0.6406, 0.1549, 0.3594)
O (0.6738, 0.6738, 0.3262)
O (0.8507, 0.3268, 0.6732)



For Li4Co5NiO12, a cell relaxed with GGA+U gives the simulated powder diffraction line list in this record (Cu Kα).
Intensities are scaled so that the largest is 100.

Largest 12 diffraction maxima, low angle first, 15 to 90 degrees two-theta:
- 2θ = 17.80°, intensity 100
- 2θ = 36.12°, intensity 14
- 2θ = 36.55°, intensity 8
- 2θ = 36.76°, intensity 8
- 2θ = 37.65°, intensity 8
- 2θ = 37.97°, intensity 8
- 2θ = 43.05°, intensity 8
- 2θ = 43.73°, intensity 8
- 2θ = 44.02°, intensity 8
- 2θ = 46.81°, intensity 9
- 2θ = 47.66°, intensity 8
- 2θ = 47.87°, intensity 8

Crystal structure
Lattice parameters (Å, degrees): 5.0261 8.5955 10.8266 112.34 95.03 90.72
Atoms (fractional coordinates):
Li (0.0000, 0.0000, 0.0000)
Li (0.0029, 0.6689, 0.9988)
Li (0.0848, 0.2588, 0.5079)
Li (0.0873, 0.9277, 0.5068)
Li (0.5008, 0.1729, 0.0005)
Li (0.5072, 0.4986, 0.9991)
Li (0.5808, 0.4290, 0.5075)
Li (0.5867, 0.7547, 0.5062)
Co (0.0420, 0.7942, 0.2524)
Co (0.0460, 0.1338, 0.2543)
Co (0.2934, 0.8791, 0.7541)
Co (0.2936, 0.2138, 0.7534)
Co (0.2943, 0.5489, 0.7531)
Co (0.5412, 0.6332, 0.2520)
Co (0.5465, 0.2947, 0.2546)
Co (0.7932, 0.3787, 0.7534)
Co (0.7942, 0.0487, 0.7528)
Co (0.7940, 0.7138, 0.7533)
Ni (0.0436, 0.4635, 0.2531)
Ni (0.5443, 0.9642, 0.2538)
O (0.1274, 0.7678, 0.8585)
O (0.1644, 0.1051, 0.8601)
O (0.1675, 0.4284, 0.8582)
O (0.2055, 0.0141, 0.3557)
O (0.2439, 0.3348, 0.3596)
O (0.2440, 0.6988, 0.3582)
O (0.3437, 0.7300, 0.1477)
O (0.3446, 0.0958, 0.1492)
O (0.3857, 0.4131, 0.1505)
O (0.4200, 0.9995, 0.6487)
O (0.4228, 0.3228, 0.6467)
O (0.4602, 0.6601, 0.6485)
O (0.6274, 0.2674, 0.8581)
O (0.6651, 0.6046, 0.8598)
O (0.6672, 0.9280, 0.8580)
O (0.7020, 0.5148, 0.3561)
O (0.7442, 0.1983, 0.3592)
O (0.7435, 0.8319, 0.3577)
O (0.8436, 0.2288, 0.1484)
O (0.8439, 0.5933, 0.1470)
O (0.8827, 0.9139, 0.1512)
O (0.9205, 0.4995, 0.6483)
O (0.9229, 0.8228, 0.6467)
O (0.9601, 0.1600, 0.6482)